# 1
# ScFe3C2
Simulated PXRD pattern, Cu Kα. Input: a crystal structure in Alexandria, relaxed with PBE.

Most intense lines, 2θ from 5° to 70°, in order of falling intensity:
2θ (°)  I (rel.)
39.7  100
42.7  74
38.3  71
40.1  29
67.9  29
45.9  24
50.3  18
68.1  18

Atomic structure:
a = 2.9162 Å, b = 6.1650 Å, c = 7.2542 Å
α = 90.00°, β = 90.00°, γ = 90.00°
Space group Amm2 (No. 38)
Unique sites:
Sc (0.0000, 0.0000, 0.0000) [2 per cell]
Fe (0.0000, 0.0000, 0.4140) [2 per cell]
Fe (0.5000, 0.1992, 0.7102) [4 per cell]
C (0.0000, 0.0000, 0.6818) [2 per cell]
C (0.5000, 0.0000, 0.2434) [2 per cell]

***

# 2
# ScFe22C6
Simulated PXRD pattern, Cu Kα. Input: a crystal structure in Alexandria, relaxed with PBE.

Most intense lines, 2θ from 5° to 70°, in order of falling intensity:
2θ (°)  I (rel.)
44.7  100
51.3  32
38.2  28
42.0  25
48.9  22
52.1  10
58.1  9
34.0  4

Atomic structure:
a = 10.5379 Å, b = 10.5379 Å, c = 10.5379 Å
α = 90.00°, β = 90.00°, γ = 90.00°
Space group Fm-3m (No. 225)
Unique sites:
Sc (0.0000, 0.0000, 0.0000) [4 per cell]
Fe (0.0000, 0.1729, 0.1729) [48 per cell]
Fe (0.1155, 0.1155, 0.3845) [32 per cell]
Fe (0.2500, 0.2500, 0.2500) [8 per cell]
C (0.0000, 0.0000, 0.2718) [24 per cell]